Record 1
Ba6Sm2Al4O15: simulated powder diffraction line list (Cu Kα), based on a structure optimized by DFT (GGA-PBE).
Kinematic intensities with the Lorentz-polarization factor, no thermal factor.

a = 8.0016 Å, b = 6.0174 Å, c = 18.6804 Å
α = 90.00°, β = 91.42°, γ = 90.00°
Space group P2/c (No. 13)
One atom of each set of equivalent atoms:
Ba 0.0000 0.1682 0.2500 x2
Ba 0.0025 0.2577 0.9171 x4
Ba 0.4675 0.2425 0.9095 x4
Ba 0.5000 0.2253 0.2500 x2
Sm 0.2516 0.2461 0.0900 x4
Al 0.2529 0.2523 0.4425 x4
Al 0.2803 0.2742 0.7339 x4
O 0.0430 0.2549 0.4060 x4
O 0.1952 0.1858 0.8146 x4
O 0.2300 0.4675 0.1928 x4
O 0.2514 0.0576 0.6680 x4
O 0.2621 0.4917 0.5009 x4
O 0.2643 0.0088 0.4983 x4
O 0.4409 0.2594 0.3919 x4
O 0.5000 0.2880 0.7500 x2

Peak list (10 most intense, 15° ≤ 2θ ≤ 90°, low angle first)
Position (°2θ)	d (Å)	intensity	hkl
20.53	4.326	15.9	0 1 3
28.68	3.113	54.0	0 0 6
29.69	3.009	52.6	0 2 0
30.16	2.963	100.0	2 1 -3
30.70	2.912	94.1	2 1 3
41.76	2.163	50.0	0 2 6
45.35	2.000	21.6	4 0 0
51.40	1.778	21.1	2 1 -9
52.43	1.745	16.2	2 1 9
52.99	1.728	15.5	2 3 -3

***

Record 2
BaAlSn4O7: simulated powder diffraction line list (Cu Kα), based on a structure optimized by DFT (GGA-PBE).
Kinematic intensities with the Lorentz-polarization factor, no thermal factor.

a = 6.1157 Å, b = 6.1157 Å, c = 14.0668 Å
α = 90.00°, β = 90.00°, γ = 120.00°
Space group P6_3mc (No. 186)
One atom of each set of equivalent atoms:
Ba 0.3333 0.6667 0.0000 x2
Al 0.3333 0.6667 0.4251 x2
Sn 0.0000 0.0000 0.4892 x2
Sn 0.1708 0.3417 0.7531 x6
O 0.0000 0.0000 0.3448 x2
O 0.0129 0.5064 0.3459 x6
O 0.1841 0.3682 0.5096 x6

Peak list (10 most intense, 15° ≤ 2θ ≤ 90°, low angle first)
Position (°2θ)	d (Å)	intensity	hkl
17.90	4.957	39.7	1 0 1
25.34	3.515	100.0	0 0 4
31.91	2.804	91.4	1 1 2
34.46	2.602	65.9	2 0 1
36.21	2.481	29.2	2 0 2
39.06	2.306	47.4	2 0 3
47.13	1.928	30.2	2 0 5
52.06	1.757	23.1	0 0 8
60.56	1.529	28.3	2 2 0
66.71	1.402	33.2	2 2 4

***

Copy entry 1 word for word.
Ba6Sm2Al4O15: simulated powder diffraction line list (Cu Kα), based on a structure optimized by DFT (GGA-PBE).
Kinematic intensities with the Lorentz-polarization factor, no thermal factor.

a = 8.0016 Å, b = 6.0174 Å, c = 18.6804 Å
α = 90.00°, β = 91.42°, γ = 90.00°
Space group P2/c (No. 13)
One atom of each set of equivalent atoms:
Ba 0.0000 0.1682 0.2500 x2
Ba 0.0025 0.2577 0.9171 x4
Ba 0.4675 0.2425 0.9095 x4
Ba 0.5000 0.2253 0.2500 x2
Sm 0.2516 0.2461 0.0900 x4
Al 0.2529 0.2523 0.4425 x4
Al 0.2803 0.2742 0.7339 x4
O 0.0430 0.2549 0.4060 x4
O 0.1952 0.1858 0.8146 x4
O 0.2300 0.4675 0.1928 x4
O 0.2514 0.0576 0.6680 x4
O 0.2621 0.4917 0.5009 x4
O 0.2643 0.0088 0.4983 x4
O 0.4409 0.2594 0.3919 x4
O 0.5000 0.2880 0.7500 x2

Peak list (10 most intense, 15° ≤ 2θ ≤ 90°, low angle first)
Position (°2θ)	d (Å)	intensity	hkl
20.53	4.326	15.9	0 1 3
28.68	3.113	54.0	0 0 6
29.69	3.009	52.6	0 2 0
30.16	2.963	100.0	2 1 -3
30.70	2.912	94.1	2 1 3
41.76	2.163	50.0	0 2 6
45.35	2.000	21.6	4 0 0
51.40	1.778	21.1	2 1 -9
52.43	1.745	16.2	2 1 9
52.99	1.728	15.5	2 3 -3